# 1
Diffraction record for KZrUO6. The powder diffraction line list is theoretical, not measured: it uses DFT lattice parameters and positions (GGA-PBE) and a wavelength of 1.5418 Å.
Intensities are scaled so that the largest is 1000.

Main lines, low angle first (10° ≤ 2θ ≤ 90°):
Position (°2θ)	I (rel.)	h k l
13.61	272	0 1 1
14.05	1000	1 0 1
26.27	737	1 2 1
27.41	401	0 2 2
28.32	503	2 0 2
46.35	290	2 2 4

Structural model:
a b c (Å): 7.673 8.049 11.056
angles (deg): 90.00 90.00 90.00
Space group Imma (No. 74)
Asymmetric unit:
K  0.000  0.250  0.070
Zr  0.250  0.250  0.750
U  0.000  0.000  0.500
O  0.000  0.250  0.436
O  0.000  0.250  0.819
O  0.189  0.062  0.620

# 2
Diffraction record for BeAgPb2. The powder diffraction line list is theoretical, not measured: it uses DFT lattice parameters and positions (GGA-PBE) and a wavelength of 1.5418 Å.
Intensities are scaled so that the largest is 1000.

Main lines, low angle first (10° ≤ 2θ ≤ 90°):
Position (°2θ)	I (rel.)	h k l
27.83	953	0 1 1
31.59	985	1 1 0
31.77	1000	1 1 -1
32.92	629	1 0 1
33.46	608	1 0 -2
41.02	431	0 1 2

Structural model:
a b c (Å): 4.252 4.052 5.624
angles (deg): 90.00 111.28 90.00
Space group Pm (No. 6)
Asymmetric unit:
Be  0.000  0.000  0.000
Ag  0.134  0.500  0.263
Pb  0.432  0.500  0.852
Pb  0.729  0.000  0.454